[1]
The following is a simulated PXRD pattern of Na3VSiCO7. It was derived from a structure optimized by DFT (GGA+U), using Cu Kα (λ = 1.5418 Å).
Intensities are scaled so that the largest is 100.

The 10 most intense peaks (5° ≤ 2θ ≤ 70°), sorted by position:
| index | two_theta | Rel. int. |
| --- | --- | --- |
| 0 0 1 | 9.9 | 80 |
| 1 0 1 | 19.7 | 28 |
| 0 2 0 | 26.8 | 82 |
| 1 2 -1 | 33.1 | 42 |
| 0 2 2 | 33.5 | 100 |
| 2 0 0 | 33.7 | 67 |
| 1 0 -3 | 33.9 | 29 |
| 1 1 3 | 37.6 | 26 |
| 2 1 -2 | 41.1 | 26 |
| 0 4 0 | 55.2 | 33 |

Cell and atoms:
Cell lengths 5.327, 6.659, 8.961 Å; angles 90.00, 92.03, 90.00 degrees
Fractional positions:
Na1 0.225 0.250 0.090
Na2 0.268 0.516 0.721
Na3 0.268 0.984 0.721
Na4 0.732 0.016 0.279
Na5 0.732 0.484 0.279
Na6 0.775 0.750 0.910
V1 0.208 0.750 0.339
V2 0.792 0.250 0.661
Si1 0.286 0.250 0.422
Si2 0.714 0.750 0.578
C1 0.287 0.750 0.058
C2 0.713 0.250 0.942
O1 0.061 0.750 0.111
O2 0.130 0.250 0.576
O3 0.216 0.053 0.315
O4 0.216 0.447 0.315
O5 0.323 0.750 0.917
O6 0.410 0.750 0.538
O7 0.475 0.750 0.157
O8 0.525 0.250 0.843
O9 0.590 0.250 0.462
O10 0.677 0.250 0.083
O11 0.784 0.553 0.685
O12 0.784 0.947 0.685
O13 0.870 0.750 0.424
O14 0.939 0.250 0.889

[2]
The following is a simulated PXRD pattern of NaVSiCO7. It was derived from a structure optimized by DFT (GGA+U), using Cu Kα (λ = 1.5418 Å).
Intensities are scaled so that the largest is 100.

The 10 most intense peaks (5° ≤ 2θ ≤ 70°), sorted by position:
| index | two_theta | Rel. int. |
| --- | --- | --- |
| 0 0 1 | 9.4 | 100 |
| 0 1 1 | 16.8 | 77 |
| 1 0 -1 | 18.3 | 20 |
| 1 0 1 | 19.1 | 39 |
| 1 1 0 | 21.3 | 24 |
| 1 0 -2 | 24.4 | 42 |
| 1 0 2 | 25.5 | 13 |
| 0 2 0 | 27.8 | 34 |
| 1 2 1 | 33.9 | 21 |
| 1 1 3 | 36.5 | 13 |

Cell and atoms:
Cell lengths 5.509, 6.408, 9.375 Å; angles 90.00, 92.67, 90.00 degrees
Fractional positions:
Na1 0.196 0.000 0.310
Na2 0.804 0.500 0.690
V1 0.223 0.237 0.849
V2 0.777 0.737 0.151
Si1 0.261 0.742 0.942
Si2 0.739 0.242 0.058
C1 0.316 0.245 0.595
C2 0.684 0.745 0.405
O1 0.079 0.752 0.076
O2 0.094 0.241 0.649
O3 0.206 0.542 0.841
O4 0.220 0.954 0.847
O5 0.358 0.232 0.468
O6 0.455 0.247 0.992
O7 0.480 0.260 0.703
O8 0.520 0.760 0.297
O9 0.545 0.747 0.008
O10 0.642 0.732 0.532
O11 0.780 0.454 0.153
O12 0.794 0.042 0.159
O13 0.906 0.741 0.351
O14 0.921 0.252 0.924